No. 1
The following is a computed powder diffraction line list of Tb4Pm3Tm. It was derived from a structure optimized by DFT (GGA-PBE), using Cu Kα (λ = 1.5418 Å).
Lines closer than 0.1° are merged.

Crystal structure
Cell: 11.5989 6.2294 7.2023 Å, 90.00 90.00 90.00°
Space group Pmn2_1 (No. 31)
Unique sites:
Tb  0.0000  0.1673  0.0000 [2 per cell]
Tb  0.0000  0.6674  0.2503 [2 per cell]
Tb  0.2505  0.5005  0.9997 [4 per cell]
Pm  0.0000  0.6675  0.7493 [2 per cell]
Pm  0.2492  0.9988  0.2491 [4 per cell]
Tm  0.0000  0.1670  0.4984 [2 per cell]

Peak list (10 most intense, 2θ = 15–90°, by angle)
29.68°, I = 45, (1 1 2)
30.84°, I = 35, (4 0 0)
32.62°, I = 100, (2 2 0)
37.05°, I = 25, (3 1 2)
48.95°, I = 11, (5 1 2)
50.74°, I = 26, (0 3 2)
55.97°, I = 22, (6 2 0)
60.56°, I = 31, (4 3 2)
61.63°, I = 16, (2 2 4)
86.13°, I = 12, (8 3 2)

---

No. 2
The following is a computed powder diffraction line list of ZnAgP4. It was derived from a structure optimized by DFT (GGA-PBE), using Cu Kα (λ = 1.5418 Å).
Lines closer than 0.1° are merged.

Crystal structure
Cell: 7.9619 7.9619 7.9619 Å, 90.00 90.00 90.00°
Space group F-43m (No. 216)
Unique sites:
Zn  0.0000  0.0000  0.0000 [4 per cell]
Ag  0.2500  0.2500  0.2500 [4 per cell]
P  0.1504  0.1504  0.6504 [16 per cell]

Peak list (10 most intense, 2θ = 15–90°, by angle)
19.31°, I = 22, (1 1 1)
22.33°, I = 21, (2 0 0)
31.79°, I = 98, (2 2 0)
37.46°, I = 100, (3 1 1)
39.20°, I = 12, (2 2 2)
49.93°, I = 15, (3 3 1)
56.63°, I = 32, (4 2 2)
60.41°, I = 42, (3 3 3)
66.42°, I = 19, (4 4 0)
69.90°, I = 11, (5 3 1)

---

No. 3
The following is a computed powder diffraction line list of ScPtBr2. It was derived from a structure optimized by DFT (GGA-PBE), using Cu Kα (λ = 1.5418 Å).
Lines closer than 0.1° are merged.

Crystal structure
Cell: 3.9120 3.3333 8.4821 Å, 90.00 100.27 90.00°
Space group Pm (No. 6)
Unique sites:
Sc  0.0000  0.0000  0.0000 [1 per cell]
Pt  0.5355  0.5000  0.1413 [1 per cell]
Br  0.2325  0.0000  0.3337 [1 per cell]
Br  0.8829  0.5000  0.7554 [1 per cell]

Peak list (10 most intense, 2θ = 15–90°, by angle)
21.29°, I = 42, (0 0 2)
27.19°, I = 90, (1 0 1)
28.61°, I = 44, (1 0 -2)
34.43°, I = 100, (0 1 2)
35.63°, I = 57, (1 1 0)
36.01°, I = 80, (1 1 -1)
38.51°, I = 37, (1 1 1)
39.56°, I = 54, (1 1 -2)
42.32°, I = 67, (0 1 3)
55.07°, I = 47, (0 2 0)

---

No. 4
The following is a computed powder diffraction line list of La4Tb5Er. It was derived from a structure optimized by DFT (GGA-PBE), using Cu Kα (λ = 1.5418 Å).
Lines closer than 0.1° are merged.

Crystal structure
Cell: 10.6761 10.6761 6.1396 Å, 90.00 90.00 90.00°
Space group I4mm (No. 107)
Unique sites:
La  0.0000  0.3233  0.0000 [8 per cell]
Tb  0.0000  0.0000  0.2661 [2 per cell]
Tb  0.1885  0.1885  0.5323 [8 per cell]
Er  0.0000  0.0000  0.7901 [2 per cell]

Peak list (10 most intense, 2θ = 15–90°, by angle)
29.01°, I = 100, (3 0 1)
31.46°, I = 12, (1 1 2)
33.59°, I = 14, (4 0 0)
33.68°, I = 21, (2 0 2)
35.68°, I = 38, (3 3 0)
48.29°, I = 11, (4 2 2)
51.35°, I = 11, (6 0 0)
51.51°, I = 14, (3 0 3)
58.71°, I = 12, (5 3 2)
60.06°, I = 19, (6 3 1)

---

No. 5
The following is a computed powder diffraction line list of Rb5Mo2Br12. It was derived from a structure optimized by DFT (GGA-PBE), using Cu Kα (λ = 1.5418 Å).
Lines closer than 0.1° are merged.

Crystal structure
Cell: 18.9192 7.9004 11.1111 Å, 90.00 106.33 90.00°
Space group C2/m (No. 12)
Unique sites:
Rb  0.0000  0.0000  0.0000 [2 per cell]
Rb  0.1945  0.5000  0.3358 [4 per cell]
Rb  0.1985  0.5000  0.8737 [4 per cell]
Mo  0.0000  0.2495  0.5000 [4 per cell]
Br  0.0010  0.5000  0.3405 [4 per cell]
Br  0.0019  0.0000  0.3434 [4 per cell]
Br  0.1408  0.2538  0.5716 [8 per cell]
Br  0.1499  0.2492  0.0867 [8 per cell]

Peak list (10 most intense, 2θ = 15–90°, by angle)
16.63°, I = 28, (0 0 2)
16.75°, I = 31, (2 0 -2)
18.47°, I = 39, (3 1 0)
19.54°, I = 40, (1 1 -2)
28.16°, I = 100, (2 2 -2)
29.52°, I = 59, (6 0 0)
29.99°, I = 55, (4 2 0)
32.23°, I = 31, (2 0 -4)
33.93°, I = 30, (0 2 3)
45.95°, I = 29, (0 4 0)

---

No. 6
The following is a computed powder diffraction line list of CsUTe4Pt. It was derived from a structure optimized by DFT (GGA-PBE), using Cu Kα (λ = 1.5418 Å).
Lines closer than 0.1° are merged.

Crystal structure
Cell: 7.4936 6.3170 10.6160 Å, 90.00 107.14 90.00°
Space group P2_1/m (No. 11)
Unique sites:
Cs  0.2088  0.2500  0.0496 [2 per cell]
U  0.2730  0.2500  0.5516 [2 per cell]
Te  0.0160  0.5019  0.6885 [4 per cell]
Te  0.4282  0.7500  0.5997 [2 per cell]
Te  0.4707  0.7500  0.1715 [2 per cell]
Pt  0.2819  0.7500  0.3443 [2 per cell]

Peak list (10 most intense, 2θ = 15–90°, by angle)
16.53°, I = 42, (0 1 1)
25.89°, I = 29, (2 0 -2)
28.20°, I = 100, (0 2 0)
29.56°, I = 60, (2 1 -2)
30.94°, I = 51, (1 2 0)
33.83°, I = 44, (1 0 -4)
37.56°, I = 37, (2 1 2)
37.99°, I = 34, (2 2 0)
39.34°, I = 30, (3 1 -2)
44.65°, I = 30, (1 2 -4)

---

No. 7
The following is a computed powder diffraction line list of ErZnAu. It was derived from a structure optimized by DFT (GGA-PBE), using Cu Kα (λ = 1.5418 Å).
Lines closer than 0.1° are merged.

Crystal structure
Cell: 4.1888 4.1888 7.1421 Å, 90.00 90.00 90.00°
Space group P4/nmm (No. 129, origin choice 2)
Unique sites:
Er  0.2500  0.2500  0.1646 [2 per cell]
Zn  0.2500  0.7500  0.5000 [2 per cell]
Au  0.2500  0.2500  0.7520 [2 per cell]

Peak list (10 most intense, 2θ = 15–90°, by angle)
24.93°, I = 28, (0 0 2)
30.17°, I = 72, (1 1 0)
32.73°, I = 34, (1 1 1)
32.96°, I = 26, (1 0 2)
39.53°, I = 100, (1 1 2)
43.20°, I = 61, (2 0 0)
43.74°, I = 26, (1 0 3)
62.74°, I = 20, (2 2 0)
76.74°, I = 29, (3 1 2)
85.49°, I = 23, (2 1 5)

---

No. 8
The following is a computed powder diffraction line list of TbNd2Cd6. It was derived from a structure optimized by DFT (GGA-PBE), using Cu Kα (λ = 1.5418 Å).
Lines closer than 0.1° are merged.

Crystal structure
Cell: 8.7650 8.7650 3.4452 Å, 90.00 90.00 120.00°
Space group P6/mmm (No. 191)
Unique sites:
Tb  0.0000  0.0000  0.0000 [1 per cell]
Nd  0.3333  0.6667  0.0000 [2 per cell]
Cd  0.0000  0.3307  0.5000 [6 per cell]

Peak list (10 most intense, 2θ = 15–90°, by angle)
33.07°, I = 100, (1 1 1)
35.48°, I = 85, (3 0 0)
49.28°, I = 32, (2 2 1)
53.17°, I = 9, (0 0 2)
62.18°, I = 31, (4 1 1)
63.70°, I = 15, (3 3 0)
65.56°, I = 27, (3 0 2)
75.09°, I = 9, (6 0 0)
84.53°, I = 13, (5 2 1)
87.57°, I = 13, (3 3 2)

---

No. 9
The following is a computed powder diffraction line list of Sc3Ag2. It was derived from a structure optimized by DFT (GGA-PBE), using Cu Kα (λ = 1.5418 Å).
Lines closer than 0.1° are merged.

Crystal structure
Cell: 3.3922 3.3922 18.3998 Å, 90.00 90.00 90.00°
Space group P4/mmm (No. 123)
Unique sites:
Sc  0.0000  0.0000  0.0000 [1 per cell]
Sc  0.0000  0.0000  0.1904 [2 per cell]
Sc  0.0000  0.0000  0.3811 [2 per cell]
Sc  0.5000  0.5000  0.5000 [1 per cell]
Ag  0.5000  0.5000  0.0943 [2 per cell]
Ag  0.5000  0.5000  0.2857 [2 per cell]

Peak list (10 most intense, 2θ = 15–90°, by angle)
24.19°, I = 11, (0 0 5)
26.27°, I = 18, (1 0 0)
36.01°, I = 100, (1 0 5)
37.49°, I = 51, (1 1 0)
39.62°, I = 14, (1 0 6)
45.12°, I = 8, (1 1 5)
54.07°, I = 16, (2 0 0)
63.75°, I = 11, (1 1 10)
66.69°, I = 29, (2 1 5)
68.37°, I = 7, (1 1 11)

---

No. 10
The following is a computed powder diffraction line list of La5AlTe4. It was derived from a structure optimized by DFT (GGA-PBE), using Cu Kα (λ = 1.5418 Å).
Lines closer than 0.1° are merged.

Crystal structure
Cell: 10.2508 10.2508 6.4627 Å, 90.00 90.00 90.00°
Space group I4/m (No. 87)
Unique sites:
La  0.0000  0.0000  0.0000 [2 per cell]
La  0.0977  0.7083  0.5000 [8 per cell]
Al  0.0000  0.0000  0.5000 [2 per cell]
Te  0.0969  0.6981  0.0000 [8 per cell]

Peak list (10 most intense, 2θ = 15–90°, by angle)
23.80°, I = 5, (1 2 1)
27.55°, I = 100, (0 0 2)
39.35°, I = 76, (3 1 2)
48.71°, I = 27, (2 4 2)
56.80°, I = 8, (6 2 0)
64.28°, I = 23, (6 2 2)
64.43°, I = 12, (3 1 4)
71.30°, I = 17, (5 5 2)
71.43°, I = 9, (2 4 4)
84.71°, I = 5, (6 2 4)

---

No. 11
The following is a computed powder diffraction line list of ErSc3Te6. It was derived from a structure optimized by DFT (GGA-PBE), using Cu Kα (λ = 1.5418 Å).
Lines closer than 0.1° are merged.

Crystal structure
Cell: 12.0535 4.1818 12.3096 Å, 90.00 109.49 90.00°
Space group P2_1/m (No. 11)
Unique sites:
Er  0.0474  0.2500  0.1988 [2 per cell]
Sc  0.1559  0.2500  0.5816 [2 per cell]
Sc  0.3158  0.7500  0.9974 [2 per cell]
Sc  0.4353  0.2500  0.3378 [2 per cell]
Te  0.0826  0.7500  0.4047 [2 per cell]
Te  0.1147  0.2500  0.9684 [2 per cell]
Te  0.1970  0.7500  0.7493 [2 per cell]
Te  0.2605  0.7500  0.2235 [2 per cell]
Te  0.3909  0.2500  0.5613 [2 per cell]
Te  0.4791  0.2500  0.1172 [2 per cell]

Peak list (10 most intense, 2θ = 15–90°, by angle)
26.27°, I = 45, (0 1 2)
29.03°, I = 100, (2 1 1)
29.53°, I = 74, (2 0 -4)
29.78°, I = 35, (4 0 -1)
30.06°, I = 37, (4 0 -2)
31.51°, I = 35, (0 1 3)
31.87°, I = 70, (3 1 0)
38.97°, I = 43, (4 1 -3)
42.27°, I = 35, (1 0 5)
43.27°, I = 56, (0 2 0)

---

No. 12
The following is a computed powder diffraction line list of Hf3PtC. It was derived from a structure optimized by DFT (GGA-PBE), using Cu Kα (λ = 1.5418 Å).
Lines closer than 0.1° are merged.

Crystal structure
Cell: 3.3209 11.6118 8.8975 Å, 90.00 90.00 90.00°
Space group Cmcm (No. 63)
Unique sites:
Hf  0.0000  0.0556  0.2500 [4 per cell]
Hf  0.0000  0.3720  0.0579 [8 per cell]
Pt  0.0000  0.2529  0.7500 [4 per cell]
C  0.0000  0.0000  0.0000 [4 per cell]

Peak list (10 most intense, 2θ = 15–90°, by angle)
33.94°, I = 40, (0 2 3)
34.58°, I = 45, (1 1 2)
35.62°, I = 26, (1 3 0)
37.04°, I = 100, (0 4 2)
41.56°, I = 31, (1 1 3)
55.33°, I = 14, (2 0 0)
64.05°, I = 23, (1 3 5)
66.52°, I = 12, (2 2 3)
68.42°, I = 13, (2 4 2)
71.03°, I = 13, (1 7 3)

---

No. 13
The following is a computed powder diffraction line list of Ac12Nd5Sm. It was derived from a structure optimized by DFT (GGA-PBE), using Cu Kα (λ = 1.5418 Å).
Lines closer than 0.1° are merged.

Crystal structure
Cell: 20.1653 11.6994 6.7200 Å, 90.00 108.80 90.00°
Space group Cm (No. 8)
Unique sites:
Ac  0.0000  0.1645  0.0000 [4 per cell]
Ac  0.9997  0.3363  0.5001 [4 per cell]
Ac  0.1664  0.1642  0.5004 [4 per cell]
Ac  0.1665  0.3360  0.0000 [4 per cell]
Ac  0.3330  0.3358  0.4997 [4 per cell]
Ac  0.3336  0.1640  0.0000 [4 per cell]
Nd  0.9997  0.0000  0.4998 [2 per cell]
Nd  0.1662  0.5000  0.4992 [2 per cell]
Nd  0.1667  0.0000  0.0005 [2 per cell]
Nd  0.3332  0.0000  0.5005 [2 per cell]
Nd  0.3334  0.5000  0.9999 [2 per cell]
Sm  0.0000  0.5000  0.0002 [2 per cell]

Peak list (10 most intense, 2θ = 15–90°, by angle)
28.08°, I = 100, (6 0 0)
32.42°, I = 35, (3 3 1)
32.78°, I = 17, (6 0 -2)
46.77°, I = 25, (9 3 -1)
55.15°, I = 16, (9 3 1)
55.26°, I = 16, (6 6 0)
55.67°, I = 15, (12 0 -2)
57.99°, I = 7, (12 0 0)
75.37°, I = 10, (15 3 -1)
77.41°, I = 9, (12 6 0)